V4Cr2O9: theoretical powder diffraction line list (a wavelength of 1.5418 Å), based on the GGA+U geometry in Alexandria.
Kinematic intensities with the Lorentz-polarization factor, no thermal factor.

Unit cell a=5.1211 b=5.1211 c=14.0063 alpha=90.00 beta=90.00 gamma=120.00
Space group P-3c1 (No. 165)
One atom of each set of equivalent atoms:
V1 0.3333 0.6667 0.0180
V2 0.3333 0.6667 0.3154
Cr1 0.0000 0.0000 0.1509
O1 0.0000 0.3008 0.2500
O2 0.0300 0.3626 0.9159

The 10 most intense peaks (2θ = 10–90°), in order of falling intensity:
d [Å]  2θ (°)  Rel. int.  (hkl)
2.748  32.58  100  1 0 4
2.561  35.04  83  1 1 0
1.725  53.09  77  1 1 6
3.747  23.75  54  0 1 2
1.873  48.60  42  0 2 4
1.478  62.86  40  3 0 0
1.512  61.31  34  2 1 4
2.245  40.17  29  1 1 3
1.336  70.51  16  1 0 10
1.123  86.75  15  2 2 6